Diffraction record for TlVPb2O4. The powder diffractogram is calculated, not measured: it uses a structure optimized by DFT (PBE+U) and λ = 1.5418 Å (Cu Kα).
Kinematic intensities with the Lorentz-polarization factor, no thermal factor.

Top 8 peaks for 5 to 70 degrees two-theta, low angle first:
18.6°, 4.761 Å, I = 20
26.6°, 3.346 Å, I = 100
29.7°, 3.003 Å, I = 33
30.3°, 2.951 Å, I = 84
34.6°, 2.593 Å, I = 49
46.3°, 1.963 Å, I = 45
55.2°, 1.664 Å, I = 28
61.3°, 1.511 Å, I = 20

Crystal structure
```
TlVPb2O4
1.0
0.0000 4.0297 6.0065
3.3874 0.0000 6.0065
3.3874 4.0297 0.0000
Tl V Pb O
1 1 2 4
direct
0.0000 0.0000 0.0000 Tl
0.5647 0.5647 0.4353 V
0.2786 0.2786 0.2214 Pb
0.7786 0.7786 0.7214 Pb
0.3098 0.6510 0.3490 O
0.4311 0.8710 0.5689 O
0.6510 0.3098 0.6902 O
0.8710 0.4311 0.1290 O
```